Diffraction record for Cs2CeAgCl6. The powder X-ray diffraction pattern is computed, not measured: it uses a cell relaxed with GGA-PBE and copper Kα.
Peak positions follow from Bragg's law for the DFT cell and can differ from measured ones.

Most intense lines, 15 to 90 degrees two-theta, by angle:
2θ 22.76, intensity 100, hkl 2 2 0
2θ 32.40, intensity 57, hkl 4 0 0
2θ 39.96, intensity 47, hkl 4 2 2
2θ 46.48, intensity 39, hkl 4 4 0
2θ 52.35, intensity 21, hkl 6 2 0
2θ 57.79, intensity 13, hkl 4 4 4
2θ 62.93, intensity 25, hkl 6 4 2
2θ 77.19, intensity 17, hkl 8 4 0

Structure:
Cell lengths 11.0530, 11.0530, 11.0530 Å; angles 90.00, 90.00, 90.00 degrees
Space group Fm-3m (No. 225)
Asymmetric unit:
Cs  0.2500  0.2500  0.2500
Ce  0.0000  0.0000  0.0000
Ag  0.0000  0.0000  0.5000
Cl  0.0000  0.0000  0.2490